Theoretical powder X-ray diffraction pattern of Sm3Dy2Ag3 for copper Kα, from the GGA-PBE geometry in Alexandria.

Main lines, most intense first (10 to 90 degrees two-theta):
d = 2.660 Å, 2θ = 33.7°, rel. 100
d = 2.678 Å, 2θ = 33.5°, rel. 27
d = 2.728 Å, 2θ = 32.8°, rel. 22
d = 1.543 Å, 2θ = 60.0°, rel. 19
d = 1.911 Å, 2θ = 47.6°, rel. 15
d = 1.562 Å, 2θ = 59.2°, rel. 11

Crystal structure
Unit cell a=11.3891 b=11.3891 c=11.3891 alpha=161.28 beta=152.80 gamma=33.23
Positions (direct):
Sm (0.0000, 0.0000, 0.0000)
Sm (0.3785, 0.8785, 0.5000)
Sm (0.6215, 0.1215, 0.5000)
Dy (0.2320, 0.2320, 0.0000)
Dy (0.7680, 0.7680, 0.0000)
Ag (0.1197, 0.6197, 0.5000)
Ag (0.5000, 0.5000, 0.0000)
Ag (0.8803, 0.3803, 0.5000)

=====

Theoretical powder X-ray diffraction pattern of Na12Hg6Au for copper Kα, from the GGA-PBE geometry in Alexandria.

Main lines, most intense first (10 to 90 degrees two-theta):
d = 2.649 Å, 2θ = 33.8°, rel. 100
d = 8.059 Å, 2θ = 11.0°, rel. 89
d = 5.793 Å, 2θ = 15.3°, rel. 69
d = 2.524 Å, 2θ = 35.6°, rel. 63
d = 4.810 Å, 2θ = 18.4°, rel. 51
d = 3.651 Å, 2θ = 24.4°, rel. 46

Crystal structure
Unit cell a=8.0677 b=8.0677 c=8.0677 alpha=88.09 beta=88.09 gamma=88.09
Positions (direct):
Na (0.0340, 0.9314, 0.3057)
Na (0.0686, 0.6943, 0.9660)
Na (0.1389, 0.4816, 0.3597)
Na (0.3057, 0.0340, 0.9314)
Na (0.3597, 0.1389, 0.4816)
Na (0.4816, 0.3597, 0.1389)
Na (0.5184, 0.6403, 0.8611)
Na (0.6403, 0.8611, 0.5184)
Na (0.6943, 0.9660, 0.0686)
Na (0.8611, 0.5184, 0.6403)
Na (0.9314, 0.3057, 0.0340)
Na (0.9660, 0.0686, 0.6943)
Hg (0.2257, 0.3920, 0.7583)
Hg (0.2417, 0.7743, 0.6080)
Hg (0.3920, 0.7583, 0.2257)
Hg (0.6080, 0.2417, 0.7743)
Hg (0.7583, 0.2257, 0.3920)
Hg (0.7743, 0.6080, 0.2417)
Au (0.5000, 0.5000, 0.5000)

=====

Theoretical powder X-ray diffraction pattern of Ac2B2Rh5 for copper Kα, from the GGA-PBE geometry in Alexandria.

Main lines, most intense first (10 to 90 degrees two-theta):
d = 2.491 Å, 2θ = 36.1°, rel. 100
d = 2.125 Å, 2θ = 42.5°, rel. 34
d = 1.287 Å, 2θ = 73.6°, rel. 25
d = 1.537 Å, 2θ = 60.2°, rel. 24
d = 3.074 Å, 2θ = 29.0°, rel. 24
d = 4.250 Å, 2θ = 20.9°, rel. 21

Crystal structure
Unit cell a=4.2499 b=4.2499 c=8.9054 alpha=90.00 beta=90.00 gamma=90.00
Positions (direct):
Ac (0.0000, 0.0000, 0.0000)
Ac (0.0000, 0.0000, 0.5000)
B (0.5000, 0.5000, 0.2486)
B (0.5000, 0.5000, 0.7514)
Rh (0.0000, 0.5000, 0.2512)
Rh (0.0000, 0.5000, 0.7488)
Rh (0.5000, 0.0000, 0.2512)
Rh (0.5000, 0.0000, 0.7488)
Rh (0.5000, 0.5000, 0.5000)

=====

Theoretical powder X-ray diffraction pattern of RbTbSe4 for copper Kα, from the GGA-PBE geometry in Alexandria.

Main lines, most intense first (10 to 90 degrees two-theta):
d = 3.118 Å, 2θ = 28.6°, rel. 100
d = 8.715 Å, 2θ = 10.1°, rel. 64
d = 2.685 Å, 2θ = 33.4°, rel. 55
d = 1.996 Å, 2θ = 45.5°, rel. 39
d = 2.556 Å, 2θ = 35.1°, rel. 37
d = 1.483 Å, 2θ = 62.6°, rel. 20

Crystal structure
Unit cell a=6.3104 b=6.3104 c=8.7153 alpha=90.00 beta=90.00 gamma=90.00
Positions (direct):
Rb (0.2500, 0.2500, 0.0000)
Rb (0.7500, 0.7500, 0.0000)
Tb (0.2500, 0.2500, 0.5000)
Tb (0.7500, 0.7500, 0.5000)
Se (0.1135, 0.6135, 0.3014)
Se (0.1135, 0.8865, 0.6986)
Se (0.3865, 0.6135, 0.6986)
Se (0.3865, 0.8865, 0.3014)
Se (0.6135, 0.1135, 0.6986)
Se (0.6135, 0.3865, 0.3014)
Se (0.8865, 0.1135, 0.3014)
Se (0.8865, 0.3865, 0.6986)